[1]
The following is a calculated powder diffractogram of MnF3. It was derived from a crystal structure in Alexandria, relaxed with PBE+U, using λ = 1.5418 Å (Cu Kα).

Largest 10 diffraction maxima, in order of rising 2θ, 15° ≤ 2θ ≤ 90°:
- 2θ 23.44, I = 100, (1 1 -1)
- 2θ 24.00, I = 47, (2 0 0)
- 2θ 31.98, I = 11, (2 0 -2)
- 2θ 33.20, I = 16, (1 1 1)
- 2θ 39.08, I = 12, (3 1 -2)
- 2θ 47.94, I = 19, (2 2 -2)
- 2θ 52.12, I = 13, (3 1 -3)
- 2θ 53.49, I = 15, (0 2 2)
- 2θ 54.33, I = 11, (3 1 1)
- 2θ 55.91, I = 12, (5 1 -1)

Crystal structure
Unit cell a=9.0757 b=5.1639 c=5.6045 alpha=90.00 beta=125.20 gamma=90.00
Space group C2/c (No. 15)
Unique sites:
1 Mn 0.2500 0.2500 0.0000
2 F 0.0000 0.1365 0.7500
3 F 0.1963 0.4641 0.2606

[2]
The following is a calculated powder diffractogram of Mn2F7. It was derived from a crystal structure in Alexandria, relaxed with PBE+U, using λ = 1.5418 Å (Cu Kα).

Largest 10 diffraction maxima, in order of rising 2θ, 15° ≤ 2θ ≤ 90°:
- 2θ 15.65, I = 100, (0 1 1)
- 2θ 21.71, I = 67, (0 0 2)
- 2θ 22.25, I = 52, (1 1 0)
- 2θ 22.47, I = 65, (0 1 2)
- 2θ 23.24, I = 34, (1 -1 0)
- 2θ 24.76, I = 64, (1 0 2)
- 2θ 34.55, I = 24, (2 0 0)
- 2θ 40.82, I = 45, (-2 1 1)
- 2θ 44.08, I = 50, (1 0 4)
- 2θ 45.62, I = 46, (1 3 1)

Crystal structure
Unit cell a=5.3383 b=6.2503 c=8.7987 alpha=72.00 beta=76.77 gamma=83.65
Space group P-1 (No. 2)
Unique sites:
1 Mn 0.2155 0.4593 0.3315
2 Mn 0.2838 0.3008 0.8028
3 F 0.0513 0.5994 0.1297
4 F 0.1166 0.1877 0.3660
5 F 0.1694 0.4135 0.5880
6 F 0.2001 0.0301 0.8217
7 F 0.3628 0.2388 0.9946
8 F 0.3648 0.7451 0.3007
9 F 0.4161 0.6018 0.7425

[3]
The following is a calculated powder diffractogram of MnF3. It was derived from a crystal structure in Alexandria, relaxed with PBE+U, using λ = 1.5418 Å (Cu Kα).

Largest 10 diffraction maxima, in order of rising 2θ, 15° ≤ 2θ ≤ 90°:
- 2θ 15.86, I = 61, (2 1 0)
- 2θ 22.51, I = 87, (3 1 0)
- 2θ 22.82, I = 100, (0 0 1)
- 2θ 25.71, I = 50, (3 2 0)
- 2θ 29.48, I = 24, (4 1 0)
- 2θ 45.95, I = 27, (6 2 0)
- 2θ 46.61, I = 33, (0 0 2)
- 2θ 51.75, I = 33, (5 5 0)
- 2θ 52.37, I = 16, (3 1 2)
- 2θ 72.18, I = 21, (5 5 2)

Crystal structure
Unit cell a=12.4915 b=12.4915 c=3.8971 alpha=90.00 beta=90.00 gamma=90.00
Space group P4/mbm (No. 127)
Unique sites:
1 Mn 0.0000 0.5000 0.0000
2 Mn 0.0813 0.2071 0.0000
3 F 0.0000 0.5000 0.5000
4 F 0.0007 0.3504 0.0000
5 F 0.0563 0.8548 0.0000
6 F 0.0846 0.2081 0.5000
7 F 0.2198 0.2802 0.0000

[4]
The following is a calculated powder diffractogram of Mn2F3. It was derived from a crystal structure in Alexandria, relaxed with PBE+U, using λ = 1.5418 Å (Cu Kα).

Largest 10 diffraction maxima, in order of rising 2θ, 15° ≤ 2θ ≤ 90°:
- 2θ 30.01, I = 95, (1 1 0)
- 2θ 32.38, I = 100, (1 0 4)
- 2θ 36.52, I = 30, (1 1 3)
- 2θ 44.73, I = 66, (0 2 4)
- 2θ 53.29, I = 49, (3 0 0)
- 2θ 54.80, I = 62, (2 1 4)
- 2θ 59.19, I = 24, (0 1 8)
- 2θ 72.05, I = 15, (1 3 4)
- 2θ 75.87, I = 15, (1 2 8)
- 2θ 87.70, I = 16, (3 2 4)

Crystal structure
Unit cell a=5.9551 b=5.9551 c=13.1029 alpha=90.00 beta=90.00 gamma=120.00
Space group R-3c (No. 167, hexagonal axes)
Unique sites:
1 Mn 0.0000 0.0000 0.1229
2 F 0.0000 0.2764 0.2500

[5]
The following is a calculated powder diffractogram of MnF. It was derived from a crystal structure in Alexandria, relaxed with PBE+U, using λ = 1.5418 Å (Cu Kα).

Largest 10 diffraction maxima, in order of rising 2θ, 15° ≤ 2θ ≤ 90°:
- 2θ 16.34, I = 91, (0 1 1)
- 2θ 17.49, I = 26, (0 0 2)
- 2θ 29.87, I = 20, (0 1 3)
- 2θ 33.02, I = 56, (0 2 2)
- 2θ 34.39, I = 50, (1 0 2)
- 2θ 35.41, I = 48, (0 0 4)
- 2θ 40.88, I = 100, (1 2 0)
- 2θ 42.39, I = 30, (1 1 3)
- 2θ 46.65, I = 19, (1 0 4)
- 2θ 55.17, I = 43, (1 2 4)

Crystal structure
Unit cell a=3.0404 b=6.4217 c=10.1392 alpha=90.00 beta=90.00 gamma=90.00
Space group Amm2 (No. 38)
Unique sites:
1 Mn 0.0000 0.0000 0.0000
2 Mn 0.5000 0.2296 0.2060
3 F 0.0000 0.0000 0.6942
4 F 0.5000 0.2110 0.9095

[6]
The following is a calculated powder diffractogram of Mn2F7. It was derived from a crystal structure in Alexandria, relaxed with PBE+U, using λ = 1.5418 Å (Cu Kα).

Largest 10 diffraction maxima, in order of rising 2θ, 15° ≤ 2θ ≤ 90°:
- 2θ 17.04, I = 100, (0 2 0)
- 2θ 18.15, I = 36, (0 0 2)
- 2θ 24.22, I = 35, (1 1 -2)
- 2θ 24.99, I = 16, (0 2 2)
- 2θ 29.05, I = 34, (1 1 2)
- 2θ 31.56, I = 11, (1 3 -1)
- 2θ 34.48, I = 11, (1 3 -2)
- 2θ 38.93, I = 10, (2 2 -1)
- 2θ 40.58, I = 16, (2 2 -2)
- 2θ 45.08, I = 21, (1 1 4)

Crystal structure
Unit cell a=5.1759 b=10.4094 c=9.9704 alpha=90.00 beta=101.36 gamma=90.00
Space group C2/c (No. 15)
Unique sites:
1 Mn 0.2185 0.0339 0.4247
2 F 0.0000 0.0116 0.7500
3 F 0.0181 0.4385 0.3972
4 F 0.0776 0.1107 0.0111
5 F 0.1837 0.3227 0.6440

[7]
The following is a calculated powder diffractogram of MnMoF4. It was derived from a crystal structure in Alexandria, relaxed with PBE+U, using λ = 1.5418 Å (Cu Kα).

Largest 10 diffraction maxima, in order of rising 2θ, 15° ≤ 2θ ≤ 90°:
- 2θ 22.61, I = 100, (2 0 0)
- 2θ 30.25, I = 82, (1 1 -1)
- 2θ 30.40, I = 43, (0 0 2)
- 2θ 33.13, I = 15, (1 1 1)
- 2θ 42.56, I = 71, (3 1 -1)
- 2θ 42.87, I = 35, (2 0 2)
- 2θ 48.91, I = 17, (3 1 1)
- 2θ 51.92, I = 19, (0 2 0)
- 2θ 52.02, I = 37, (1 1 -3)
- 2θ 61.37, I = 16, (2 0 -4)

Crystal structure
Unit cell a=8.1388 b=3.5222 c=6.0857 alpha=90.00 beta=104.89 gamma=90.00
Space group C2/m (No. 12)
Unique sites:
1 Mn 0.0000 0.0000 0.0000
2 Mo 0.0000 0.5000 0.5000
3 F 0.1147 0.5000 0.8802
4 F 0.1184 0.0000 0.3624

[8]
The following is a calculated powder diffractogram of MnMoF6. It was derived from a crystal structure in Alexandria, relaxed with PBE+U, using λ = 1.5418 Å (Cu Kα).

Largest 10 diffraction maxima, in order of rising 2θ, 15° ≤ 2θ ≤ 90°:
- 2θ 17.33, I = 47, (1 1 0)
- 2θ 19.88, I = 88, (1 1 -1)
- 2θ 21.18, I = 100, (1 1 1)
- 2θ 26.58, I = 55, (2 0 -2)
- 2θ 30.41, I = 42, (2 0 2)
- 2θ 31.72, I = 25, (3 1 -1)
- 2θ 35.07, I = 34, (2 2 0)
- 2θ 36.09, I = 25, (3 1 -2)
- 2θ 48.91, I = 25, (3 1 3)
- 2θ 50.88, I = 30, (4 2 -2)

Crystal structure
Unit cell a=9.9496 b=5.9879 c=8.1595 alpha=90.00 beta=97.69 gamma=90.00
Space group C2/c (No. 15)
Unique sites:
1 Mn 0.0000 0.0246 0.2500
2 Mo 0.2500 0.2500 0.0000
3 F 0.0981 0.2929 0.1326
4 F 0.1301 0.2863 0.7888
5 F 0.1542 0.0556 0.4663

[9]
The following is a calculated powder diffractogram of MnNF2. It was derived from a crystal structure in Alexandria, relaxed with PBE+U, using λ = 1.5418 Å (Cu Kα).

Largest 10 diffraction maxima, in order of rising 2θ, 15° ≤ 2θ ≤ 90°:
- 2θ 25.99, I = 37, (0 0 2)
- 2θ 30.76, I = 18, (1 1 0)
- 2θ 31.69, I = 18, (2 0 0)
- 2θ 35.20, I = 100, (1 1 1)
- 2θ 43.58, I = 41, (1 1 2)
- 2θ 54.10, I = 33, (0 2 0)
- 2θ 54.47, I = 26, (1 1 3)
- 2θ 55.87, I = 25, (3 1 0)
- 2θ 60.97, I = 16, (0 2 2)
- 2θ 71.87, I = 19, (2 0 4)

Crystal structure
Unit cell a=5.8724 b=3.3904 c=7.1310 alpha=90.00 beta=105.97 gamma=90.00
Space group C2 (No. 5)
Unique sites:
1 Mn 0.0000 0.0000 0.0000
2 N 0.0000 0.4985 0.5000
3 F 0.2124 0.4998 0.1371

[10]
The following is a calculated powder diffractogram of NaMn3F10. It was derived from a crystal structure in Alexandria, relaxed with PBE+U, using λ = 1.5418 Å (Cu Kα).

Largest 10 diffraction maxima, in order of rising 2θ, 15° ≤ 2θ ≤ 90°:
- 2θ 22.26, I = 96, (0 4 0)
- 2θ 26.62, I = 55, (4 0 0)
- 2θ 27.35, I = 100, (2 0 2)
- 2θ 45.41, I = 32, (0 8 0)
- 2θ 47.45, I = 41, (6 0 2)
- 2θ 48.78, I = 16, (0 0 4)
- 2θ 53.01, I = 18, (6 4 2)
- 2θ 53.83, I = 24, (2 8 2)
- 2θ 56.43, I = 19, (4 0 4)
- 2θ 67.77, I = 22, (6 8 2)

Crystal structure
Unit cell a=13.3957 b=15.9773 c=7.4670 alpha=90.00 beta=90.00 gamma=90.00
Space group Fdd2 (No. 43)
Unique sites:
1 Na 0.0000 0.0000 0.0000
2 Mn 0.0000 0.0000 0.5005
3 Mn 0.0001 0.2504 0.0008
4 F 0.0000 0.1330 0.5000
5 F 0.0003 0.1368 0.0017
6 F 0.0475 0.2505 0.2508
7 F 0.0979 0.0013 0.6838
8 F 0.0980 0.4988 0.8175

[11]
The following is a calculated powder diffractogram of Na2Mn2F7. It was derived from a crystal structure in Alexandria, relaxed with PBE+U, using λ = 1.5418 Å (Cu Kα).

Largest 10 diffraction maxima, in order of rising 2θ, 15° ≤ 2θ ≤ 90°:
- 2θ 15.83, I = 100, (0 0 1)
- 2θ 16.80, I = 78, (0 1 0)
- 2θ 21.00, I = 57, (0 1 1)
- 2θ 22.66, I = 86, (1 0 1)
- 2θ 23.90, I = 58, (1 1 1)
- 2θ 28.50, I = 82, (1 1 -1)
- 2θ 35.97, I = 48, (2 1 1)
- 2θ 41.66, I = 57, (1 1 -2)
- 2θ 42.82, I = 54, (-1 2 1)
- 2θ 44.21, I = 56, (2 1 2)

Crystal structure
Unit cell a=5.4418 b=5.5291 c=5.7098 alpha=78.92 beta=84.92 gamma=75.81
Space group P1 (No. 1)
Unique sites:
1 Na 0.0000 0.0000 0.0000
2 Na 0.4333 0.4828 0.8867
3 Mn 0.5031 0.0745 0.5040
4 Mn 0.9380 0.4137 0.3776
5 F 0.0368 0.5844 0.0545
6 F 0.1918 0.0753 0.3089
7 F 0.2715 0.3915 0.5656
8 F 0.3934 0.9074 0.8009
9 F 0.6556 0.2558 0.2201
10 F 0.7186 0.7599 0.4444
11 F 0.7682 0.2229 0.6780

[12]
The following is a calculated powder diffractogram of Na2MnNi3F12. It was derived from a crystal structure in Alexandria, relaxed with PBE+U, using λ = 1.5418 Å (Cu Kα).

Largest 10 diffraction maxima, in order of rising 2θ, 15° ≤ 2θ ≤ 90°:
- 2θ 15.32, I = 100, (1 0 1)
- 2θ 28.33, I = 39, (0 1 5)
- 2θ 29.27, I = 46, (1 1 3)
- 2θ 29.72, I = 34, (0 2 1)
- 2θ 30.92, I = 83, (2 0 2)
- 2θ 47.14, I = 18, (3 0 3)
- 2θ 49.67, I = 34, (2 0 8)
- 2θ 51.99, I = 38, (2 2 0)
- 2θ 52.85, I = 18, (2 1 7)
- 2θ 54.25, I = 15, (2 2 3)

Crystal structure
Unit cell a=7.0356 b=7.0356 c=18.3999 alpha=90.00 beta=90.00 gamma=120.00
Space group R-3m (No. 166, hexagonal axes)
Unique sites:
1 Na 0.0000 0.0000 0.0816
2 Mn 0.0000 0.0000 0.5000
3 Ni 0.0000 0.5000 0.0000
4 F 0.0480 0.5240 0.3647
5 F 0.0857 0.5429 0.1093